Entry 1:
Calculated powder XRD pattern
Compound: TlTeCl5
Radiation: Cu Kα X-rays
Structure: a crystal structure in Alexandria, relaxed with GGA-PBE

Cell and atoms:
```
TlTeCl5
1.0
6.0976 -4.2559 0.0000
6.0976 4.2559 0.0000
-4.3432 0.0000 9.6278
Tl Te Cl
2 2 10
direct
0.0231 0.9769 0.7500
0.9769 0.0231 0.2500
0.5000 0.5000 0.0000
0.5000 0.5000 0.5000
0.1495 0.7184 0.9914
0.1970 0.3737 0.3880
0.2816 0.8505 0.5086
0.3737 0.1970 0.8880
0.4569 0.5431 0.7500
0.5431 0.4569 0.2500
0.6263 0.8030 0.1120
0.7184 0.1495 0.4914
0.8030 0.6263 0.6120
0.8505 0.2816 0.0086
```

Peak list (10 most intense, 2θ from 5° to 70°, in order of rising 2θ)
15.9°, intensity 87.4
19.8°, intensity 100.0
20.9°, intensity 38.6
25.3°, intensity 22.2
25.8°, intensity 23.3
26.4°, intensity 32.9
32.2°, intensity 21.4
34.0°, intensity 27.9
35.9°, intensity 19.8
38.7°, intensity 26.0

---

Entry 2:
Calculated powder XRD pattern
Compound: MnAuS4
Radiation: Cu Kα X-rays
Structure: a crystal structure in Alexandria, relaxed with GGA-PBE

Cell and atoms:
```
MnAuS4
1.0
6.1536 0.0000 0.0000
-1.2996 6.7619 0.0000
-2.6123 -3.1650 5.6711
Mn Au S
2 2 8
direct
0.1702 0.4603 0.4553
0.8298 0.5397 0.5447
0.2051 0.4024 0.9541
0.7949 0.5976 0.0459
0.0718 0.7713 0.4717
0.1686 0.1391 0.1114
0.2450 0.6800 0.8206
0.4738 0.6322 0.3800
0.5262 0.3678 0.6200
0.7550 0.3200 0.1794
0.8314 0.8609 0.8886
0.9282 0.2287 0.5283
```

Peak list (10 most intense, 2θ from 5° to 70°, in order of rising 2θ)
15.0°, intensity 100.0
15.6°, intensity 21.4
16.8°, intensity 14.5
29.6°, intensity 16.3
30.8°, intensity 22.9
31.4°, intensity 27.2
31.6°, intensity 17.5
33.8°, intensity 15.3
35.6°, intensity 23.0
45.5°, intensity 13.8

---

Entry 3:
Calculated powder XRD pattern
Compound: Li5ErMg5
Radiation: Cu Kα X-rays
Structure: a crystal structure in Alexandria, relaxed with GGA-PBE

Cell and atoms:
```
Li5ErMg5
1.0
5.3089 0.0000 0.0000
-2.6545 4.5976 0.0000
0.0000 0.0000 9.7311
Li Er Mg
5 1 5
direct
0.0000 0.0000 0.2346
0.0000 0.0000 0.7654
0.3419 0.1710 0.0000
0.8290 0.1710 0.0000
0.8290 0.6581 0.0000
0.3333 0.6667 0.5000
0.0000 0.0000 0.5000
0.3333 0.6667 0.1659
0.3333 0.6667 0.8341
0.6667 0.3333 0.3265
0.6667 0.3333 0.6735
```

Peak list (10 most intense, 2θ from 5° to 70°, in order of rising 2θ)
9.1°, intensity 96.1
19.3°, intensity 54.4
21.4°, intensity 42.7
26.7°, intensity 37.9
33.8°, intensity 100.0
35.0°, intensity 32.4
44.1°, intensity 18.3
48.5°, intensity 17.2
60.4°, intensity 28.8
67.7°, intensity 14.7

---

Entry 4:
Calculated powder XRD pattern
Compound: CsHoSe4
Radiation: Cu Kα X-rays
Structure: a crystal structure in Alexandria, relaxed with GGA-PBE

Cell and atoms:
```
CsHoSe4
1.0
6.3003 0.0000 0.0000
0.0000 6.3003 0.0000
0.0000 0.0000 9.0599
Cs Ho Se
2 2 8
direct
0.2500 0.2500 0.0000
0.7500 0.7500 0.0000
0.2500 0.2500 0.5000
0.7500 0.7500 0.5000
0.1131 0.6131 0.3116
0.1131 0.8869 0.6884
0.3869 0.6131 0.6884
0.3869 0.8869 0.3116
0.6131 0.1131 0.6884
0.6131 0.3869 0.3116
0.8869 0.1131 0.3116
0.8869 0.3869 0.6884
```

Peak list (10 most intense, 2θ from 5° to 70°, in order of rising 2θ)
9.8°, intensity 43.4
19.9°, intensity 18.2
28.1°, intensity 100.0
28.3°, intensity 19.3
33.3°, intensity 41.3
34.7°, intensity 40.1
37.6°, intensity 16.8
44.9°, intensity 15.3
45.5°, intensity 38.3
62.4°, intensity 17.6

---

Entry 5:
Calculated powder XRD pattern
Compound: AcLaP
Radiation: Cu Kα X-rays
Structure: a crystal structure in Alexandria, relaxed with GGA-PBE

Cell and atoms:
```
AcLaP
1.0
2.5486 1.4715 8.3111
-2.5486 1.4715 8.3111
0.0000 -2.9429 8.3111
Ac La P
2 2 2
direct
0.1226 0.1226 0.1226
0.8774 0.8774 0.8774
0.3728 0.3728 0.3728
0.6272 0.6272 0.6272
0.2520 0.2520 0.2520
0.7480 0.7480 0.7480
```

Peak list (10 most intense, 2θ from 5° to 70°, in order of rising 2θ)
10.6°, intensity 3.5
20.4°, intensity 4.8
24.7°, intensity 87.1
27.0°, intensity 4.1
35.2°, intensity 100.0
43.5°, intensity 26.5
48.5°, intensity 2.4
50.7°, intensity 17.8
57.2°, intensity 35.9
63.2°, intensity 36.5

---

Entry 6:
Calculated powder XRD pattern
Compound: Fe2Pd4Pt5
Radiation: Cu Kα X-rays
Structure: a crystal structure in Alexandria, relaxed with GGA-PBE

Cell and atoms:
```
Fe2Pd4Pt5
1.0
6.0948 -2.3296 0.0000
6.0948 2.3296 0.0000
-4.0120 0.0000 5.9194
Fe Pd Pt
2 4 5
direct
0.1467 0.1467 0.0917
0.8533 0.8533 0.9083
0.0437 0.0437 0.3422
0.4102 0.4102 0.2730
0.5898 0.5898 0.7270
0.9563 0.9563 0.6578
0.2309 0.2309 0.8202
0.3138 0.3138 0.5321
0.5000 0.5000 0.0000
0.6862 0.6862 0.4679
0.7691 0.7691 0.1798
```

Peak list (10 most intense, 2θ from 5° to 70°, in order of rising 2θ)
17.6°, intensity 6.0
21.0°, intensity 7.9
22.8°, intensity 10.5
32.6°, intensity 10.8
35.6°, intensity 4.0
38.6°, intensity 100.0
42.2°, intensity 77.9
42.3°, intensity 77.2
55.7°, intensity 33.8
66.6°, intensity 9.9